Calculated powder diffraction line list
Compound: Ba6Na3Pt
Radiation: Cu Ka
Structure: DFT lattice parameters and positions (GGA-PBE)
Kinematic intensities with the Lorentz-polarization factor, no thermal factor.

Largest 10 diffraction maxima, by angle, 2θ from 15° to 90°:
two_theta, I (rel.)
22.93, 61
23.59, 100
24.00, 64
24.92, 70
25.40, 55
26.39, 85
27.92, 82
30.37, 55
35.97, 63
38.61, 59

Structure:
Cell: 8.1288 10.4346 14.3090 Å, 90.00 118.72 90.00°
Positions (direct):
Ba1 0.0826 0.0513 0.2332
Ba2 0.0826 0.4487 0.7332
Ba3 0.1891 0.7274 0.0642
Ba4 0.1891 0.7726 0.5642
Ba5 0.3759 0.1451 0.0449
Ba6 0.3759 0.3549 0.5449
Ba7 0.6241 0.6451 0.4551
Ba8 0.6241 0.8549 0.9551
Ba9 0.8109 0.2274 0.4358
Ba10 0.8109 0.2726 0.9358
Ba11 0.9174 0.5513 0.2668
Ba12 0.9174 0.9487 0.7668
Na1 0.3308 0.1038 0.7266
Na2 0.3308 0.3962 0.2266
Na3 0.5000 0.0000 0.5000
Na4 0.5000 0.5000 0.0000
Na5 0.6692 0.6038 0.7734
Na6 0.6692 0.8962 0.2734
Pt1 0.0000 0.0000 0.0000
Pt2 0.0000 0.5000 0.5000

=====

Calculated powder diffraction line list
Compound: Ba4Na2Pt
Radiation: Cu Ka
Structure: DFT lattice parameters and positions (GGA-PBE)
Kinematic intensities with the Lorentz-polarization factor, no thermal factor.

Largest 10 diffraction maxima, by angle, 2θ from 15° to 90°:
two_theta, I (rel.)
22.20, 26
26.81, 42
27.18, 82
28.81, 100
30.23, 32
32.62, 43
39.76, 29
40.00, 75
41.20, 38
50.05, 49

Structure:
Cell: 6.1979 6.1979 19.7035 Å, 90.00 90.00 90.00°
Positions (direct):
Ba1 0.0000 0.0000 0.1632
Ba2 0.0000 0.0000 0.8368
Ba3 0.0000 0.5000 0.0000
Ba4 0.0000 0.5000 0.5000
Ba5 0.5000 0.0000 0.0000
Ba6 0.5000 0.0000 0.5000
Ba7 0.5000 0.5000 0.3368
Ba8 0.5000 0.5000 0.6632
Na1 0.0000 0.0000 0.3659
Na2 0.0000 0.0000 0.6341
Na3 0.5000 0.5000 0.1341
Na4 0.5000 0.5000 0.8659
Pt1 0.0000 0.0000 0.0000
Pt2 0.5000 0.5000 0.5000

=====

Calculated powder diffraction line list
Compound: Ba5Na5Pt
Radiation: Cu Ka
Structure: DFT lattice parameters and positions (GGA-PBE)
Kinematic intensities with the Lorentz-polarization factor, no thermal factor.

Largest 10 diffraction maxima, by angle, 2θ from 15° to 90°:
two_theta, I (rel.)
15.34, 100
19.26, 60
22.00, 64
27.14, 82
27.31, 92
28.84, 73
29.07, 81
30.46, 38
40.14, 78
41.39, 72

Structure:
Cell: 10.2761 10.2761 10.2761 Å, 144.93 113.55 77.41°
Positions (direct):
Ba1 0.0000 0.0000 0.0000
Ba2 0.0538 0.3588 0.6950
Ba3 0.3362 0.6412 0.6950
Ba4 0.6638 0.3588 0.3050
Ba5 0.9462 0.6412 0.3050
Na1 0.2489 0.2489 0.0000
Na2 0.3774 0.8774 0.5000
Na3 0.5000 0.5000 0.0000
Na4 0.6226 0.1226 0.5000
Na5 0.7511 0.7511 0.0000
Pt1 0.0000 0.5000 0.5000

=====

Calculated powder diffraction line list
Compound: Ba3Na2Pt
Radiation: Cu Ka
Structure: DFT lattice parameters and positions (GGA-PBE)
Kinematic intensities with the Lorentz-polarization factor, no thermal factor.

Largest 10 diffraction maxima, by angle, 2θ from 15° to 90°:
two_theta, I (rel.)
17.56, 47
24.30, 100
27.50, 67
30.14, 32
30.76, 83
35.51, 42
39.19, 26
39.99, 72
43.53, 23
48.53, 36

Structure:
Cell: 7.8902 7.8902 9.1952 Å, 90.00 90.00 79.59°
Positions (direct):
Ba1 0.1899 0.8101 0.7500
Ba2 0.3261 0.3261 0.0000
Ba3 0.3261 0.3261 0.5000
Ba4 0.6739 0.6739 0.0000
Ba5 0.6739 0.6739 0.5000
Ba6 0.8101 0.1899 0.2500
Na1 0.0871 0.6594 0.2500
Na2 0.3406 0.9129 0.2500
Na3 0.6594 0.0871 0.7500
Na4 0.9129 0.3406 0.7500
Pt1 0.4924 0.5076 0.2500
Pt2 0.5076 0.4924 0.7500

=====

Calculated powder diffraction line list
Compound: Ba4NaPt2
Radiation: Cu Ka
Structure: DFT lattice parameters and positions (GGA-PBE)
Kinematic intensities with the Lorentz-polarization factor, no thermal factor.

Largest 10 diffraction maxima, by angle, 2θ from 15° to 90°:
two_theta, I (rel.)
22.93, 15
25.18, 100
28.64, 52
32.19, 35
33.22, 19
33.93, 19
38.27, 23
38.48, 86
44.42, 17
48.61, 20

Structure:
Cell: 9.4776 9.4776 9.3722 Å, 119.56 119.56 82.27°
Positions (direct):
Ba1 0.2474 0.7528 0.5337
Ba2 0.2472 0.7526 0.9663
Ba3 0.3065 0.3134 0.5602
Ba4 0.3134 0.3065 0.0602
Ba5 0.6866 0.6935 0.9398
Ba6 0.6935 0.6866 0.4398
Ba7 0.7528 0.2474 0.0337
Ba8 0.7526 0.2472 0.4663
Na1 0.0132 0.9868 0.2500
Na2 0.9868 0.0132 0.7500
Pt1 0.0000 0.5000 0.5000
Pt2 0.5000 0.0000 0.0000
Pt3 0.5000 0.5000 0.0000
Pt4 0.5000 0.5000 0.5000

=====

Calculated powder diffraction line list
Compound: Ba6NaPt3
Radiation: Cu Ka
Structure: DFT lattice parameters and positions (GGA-PBE)
Kinematic intensities with the Lorentz-polarization factor, no thermal factor.

Largest 10 diffraction maxima, by angle, 2θ from 15° to 90°:
two_theta, I (rel.)
22.52, 51
26.10, 100
27.41, 51
27.63, 45
30.37, 85
36.49, 36
39.12, 52
39.34, 43
40.21, 69
65.84, 23

Structure:
Cell: 13.0465 4.5804 16.2996 Å, 90.00 109.55 90.00°
Positions (direct):
Ba1 0.0314 0.2500 0.2748
Ba2 0.1357 0.2500 0.0722
Ba3 0.1619 0.2500 0.5751
Ba4 0.2399 0.2500 0.8527
Ba5 0.3583 0.7500 0.4304
Ba6 0.4464 0.7500 0.7139
Ba7 0.5536 0.2500 0.2861
Ba8 0.6417 0.2500 0.5696
Ba9 0.7601 0.7500 0.1473
Ba10 0.8381 0.7500 0.4249
Ba11 0.8643 0.7500 0.9278
Ba12 0.9686 0.7500 0.7252
Na1 0.4248 0.7500 0.0576
Na2 0.5752 0.2500 0.9424
Pt1 0.0033 0.7500 0.1319
Pt2 0.2026 0.7500 0.7147
Pt3 0.4018 0.2500 0.5723
Pt4 0.5982 0.7500 0.4277
Pt5 0.7974 0.2500 0.2853
Pt6 0.9967 0.2500 0.8681

=====

Calculated powder diffraction line list
Compound: Ba6NaPtRh
Radiation: Cu Ka
Structure: DFT lattice parameters and positions (GGA-PBE)
Kinematic intensities with the Lorentz-polarization factor, no thermal factor.

Largest 10 diffraction maxima, by angle, 2θ from 15° to 90°:
two_theta, I (rel.)
16.74, 23
24.45, 100
31.33, 61
35.34, 16
38.08, 35
40.49, 34
45.78, 14
50.11, 13
70.46, 12
71.39, 14

Structure:
Cell: 8.1851 8.1851 7.9708 Å, 90.00 90.00 120.00°
Positions (direct):
Ba1 0.0398 0.3393 0.2185
Ba2 0.0398 0.7004 0.7815
Ba3 0.2996 0.3393 0.7815
Ba4 0.2996 0.9602 0.2185
Ba5 0.6607 0.7004 0.2185
Ba6 0.6607 0.9602 0.7815
Na1 0.6667 0.3333 0.5000
Pt1 0.0000 0.0000 0.0000
Rh1 0.3333 0.6667 0.0000

=====

Calculated powder diffraction line list
Compound: Ba2NaSr6Pt
Radiation: Cu Ka
Structure: DFT lattice parameters and positions (GGA-PBE)
Kinematic intensities with the Lorentz-polarization factor, no thermal factor.

Largest 10 diffraction maxima, by angle, 2θ from 15° to 90°:
two_theta, I (rel.)
19.54, 46
24.00, 63
27.78, 100
34.19, 20
36.34, 19
39.69, 73
46.90, 22
49.13, 25
64.89, 20
72.00, 18

Structure:
Cell: 9.0823 9.0823 9.0731 Å, 119.92 119.92 90.10°
Positions (direct):
Ba1 0.2500 0.7500 0.0000
Ba2 0.7500 0.2500 0.0000
Na1 0.0000 0.0000 0.5000
Sr1 0.2689 0.2689 0.0383
Sr2 0.2689 0.2689 0.5001
Sr3 0.2692 0.7308 0.5000
Sr4 0.7308 0.2692 0.5000
Sr5 0.7311 0.7311 0.4999
Sr6 0.7311 0.7311 0.9617
Pt1 0.5000 0.5000 0.5000

=====

Calculated powder diffraction line list
Compound: BaNa2TePt
Radiation: Cu Ka
Structure: DFT lattice parameters and positions (GGA-PBE)
Kinematic intensities with the Lorentz-polarization factor, no thermal factor.

Largest 10 diffraction maxima, by angle, 2θ from 15° to 90°:
two_theta, I (rel.)
20.85, 54
23.01, 100
26.21, 57
26.53, 55
32.77, 64
35.16, 68
42.44, 62
47.03, 23
54.63, 30
60.05, 29

Structure:
Cell: 5.4650 5.4650 6.7998 Å, 90.00 90.00 90.00°
Positions (direct):
Ba1 0.0000 0.0000 0.0000
Na1 0.0000 0.5000 0.5000
Na2 0.5000 0.0000 0.5000
Te1 0.0000 0.0000 0.5000
Pt1 0.5000 0.5000 0.0000

=====

Calculated powder diffraction line list
Compound: Ba6Na2TlPt
Radiation: Cu Ka
Structure: DFT lattice parameters and positions (GGA-PBE)
Kinematic intensities with the Lorentz-polarization factor, no thermal factor.

Largest 10 diffraction maxima, by angle, 2θ from 15° to 90°:
two_theta, I (rel.)
23.50, 26
27.20, 100
30.48, 71
38.83, 64
38.91, 13
41.28, 29
48.00, 14
48.12, 14
56.10, 13
63.47, 23

Structure:
Cell: 9.2719 9.2719 9.2593 Å, 119.93 119.93 90.00°
Positions (direct):
Ba1 0.2392 0.2392 0.9987
Ba2 0.2397 0.2397 0.4793
Ba3 0.2397 0.7603 0.0000
Ba4 0.7603 0.2397 0.0000
Ba5 0.7603 0.7603 0.5207
Ba6 0.7608 0.7608 0.0013
Na1 0.2499 0.7501 0.5000
Na2 0.7501 0.2499 0.5000
Tl1 0.5000 0.5000 0.0000
Pt1 0.0000 0.0000 0.0000

=====

Calculated powder diffraction line list
Compound: RbBaNa
Radiation: Cu Ka
Structure: DFT lattice parameters and positions (GGA-PBE)
Kinematic intensities with the Lorentz-polarization factor, no thermal factor.

Largest 10 diffraction maxima, by angle, 2θ from 15° to 90°:
two_theta, I (rel.)
19.52, 64
22.72, 51
22.85, 85
23.30, 39
23.94, 86
25.26, 100
26.27, 43
26.94, 44
38.23, 39
39.05, 32

Structure:
Cell: 15.4784 4.8464 11.7414 Å, 90.00 121.23 90.00°
Positions (direct):
Rb1 0.1535 0.0000 0.0567
Rb2 0.3465 0.5000 0.9433
Rb3 0.6535 0.5000 0.0567
Rb4 0.8465 0.0000 0.9433
Ba1 0.1007 0.5000 0.3762
Ba2 0.3993 0.0000 0.6238
Ba3 0.6007 0.0000 0.3762
Ba4 0.8993 0.5000 0.6238
Na1 0.1278 0.0000 0.6626
Na2 0.3722 0.5000 0.3374
Na3 0.6278 0.5000 0.6626
Na4 0.8722 0.0000 0.3374

=====

Calculated powder diffraction line list
Compound: RbBaNa
Radiation: Cu Ka
Structure: DFT lattice parameters and positions (GGA-PBE)
Kinematic intensities with the Lorentz-polarization factor, no thermal factor.

Largest 10 diffraction maxima, by angle, 2θ from 15° to 90°:
two_theta, I (rel.)
21.30, 52
22.95, 40
23.46, 45
24.16, 100
25.03, 98
27.04, 98
37.75, 34
41.74, 23
45.57, 30
47.08, 39

Structure:
Cell: 15.5077 4.5336 11.4763 Å, 90.00 111.69 90.00°
Positions (direct):
Rb1 0.0000 0.0000 0.0000
Rb2 0.1854 0.5000 0.8126
Rb3 0.5000 0.5000 0.0000
Rb4 0.6854 0.0000 0.8126
Ba1 0.1435 0.5000 0.3876
Ba2 0.3318 0.0000 0.2322
Ba3 0.6435 0.0000 0.3876
Ba4 0.8318 0.5000 0.2322
Na1 0.3476 0.0000 0.6380
Na2 0.4784 0.5000 0.5283
Na3 0.8476 0.5000 0.6380
Na4 0.9784 0.0000 0.5283

=====

Calculated powder diffraction line list
Compound: Rb3BaNa8
Radiation: Cu Ka
Structure: DFT lattice parameters and positions (GGA-PBE)
Kinematic intensities with the Lorentz-polarization factor, no thermal factor.

Largest 10 diffraction maxima, by angle, 2θ from 15° to 90°:
two_theta, I (rel.)
15.43, 23
23.81, 71
25.51, 100
27.85, 87
28.50, 40
42.92, 48
44.44, 24
46.00, 33
48.73, 22
52.43, 23

Structure:
Cell: 7.4747 7.4747 12.4419 Å, 90.00 90.00 120.00°
Positions (direct):
Rb1 0.0000 0.0000 0.0000
Rb2 0.0000 0.0000 0.3724
Rb3 0.3333 0.6667 0.8739
Ba1 0.3333 0.6667 0.4986
Na1 0.0042 0.5021 0.1937
Na2 0.3324 0.1662 0.6789
Na3 0.4979 0.5021 0.1937
Na4 0.4979 0.9958 0.1937
Na5 0.6667 0.3333 0.4372
Na6 0.6667 0.3333 0.9386
Na7 0.8338 0.1662 0.6789
Na8 0.8338 0.6676 0.6789